Theoretical powder XRD pattern of TcAs2O for CuKα, from a crystal structure in OQMD, relaxed with GGA-PBE.
No peak broadening, texture or thermal motion is included.

Top 10 peaks for 2θ from 10° to 90°, in order of rising 2θ:
two_theta, d_spacing, intensity, h k l
19.53, 4.546, 30.3, 0 0 2
30.75, 2.907, 100.0, 1 0 2
34.98, 2.565, 52.5, 1 1 1
38.05, 2.365, 29.6, 1 0 3
39.08, 2.305, 70.9, 1 1 2
45.22, 2.005, 29.3, 1 1 3
48.12, 1.891, 59.4, 2 0 0
52.86, 1.732, 43.8, 1 1 4
58.20, 1.585, 31.7, 2 1 2
72.06, 1.311, 25.8, 2 0 5

Lattice parameters (Å, degrees): 3.782 3.782 9.092 90.00 90.00 90.00
Space group P4/nmm (No. 129, origin choice 2)
Inequivalent atoms, fractional coordinates:
1 Tc 0.250 0.750 0.000 [2 per cell]
2 As 0.250 0.250 0.186 [2 per cell]
3 As 0.250 0.250 0.608 [2 per cell]
4 O 0.250 0.750 0.500 [2 per cell]

***

Theoretical powder XRD pattern of TmTcAsO for CuKα, from a crystal structure in OQMD, relaxed with GGA-PBE.
No peak broadening, texture or thermal motion is included.

Top 10 peaks for 2θ from 10° to 90°, in order of rising 2θ:
two_theta, d_spacing, intensity, h k l
31.17, 2.869, 100.0, 1 0 2
32.26, 2.775, 14.6, 1 1 0
34.02, 2.635, 46.2, 1 1 1
38.89, 2.316, 30.7, 1 1 2
39.50, 2.281, 21.8, 1 0 3
46.27, 1.962, 43.1, 2 0 0
54.78, 1.676, 33.5, 1 1 4
56.85, 1.619, 36.5, 2 1 2
67.52, 1.387, 13.6, 2 2 0
74.27, 1.277, 12.2, 2 0 5

Lattice parameters (Å, degrees): 3.924 3.924 8.411 90.00 90.00 90.00
Space group P4/nmm (No. 129, origin choice 2)
Inequivalent atoms, fractional coordinates:
1 Tm 0.250 0.250 0.125 [2 per cell]
2 Tc 0.250 0.750 0.500 [2 per cell]
3 As 0.250 0.250 0.684 [2 per cell]
4 O 0.250 0.750 0.000 [2 per cell]

***

Theoretical powder XRD pattern of YTmAsO for CuKα, from a crystal structure in OQMD, relaxed with GGA-PBE.
No peak broadening, texture or thermal motion is included.

Top 10 peaks for 2θ from 10° to 90°, in order of rising 2θ:
two_theta, d_spacing, intensity, h k l
29.28, 3.050, 100.0, 1 0 2
31.08, 2.877, 70.8, 1 1 1
36.06, 2.491, 15.3, 1 1 2
37.60, 2.392, 54.2, 1 0 3
41.85, 2.158, 50.8, 2 0 0
51.91, 1.761, 47.1, 2 1 2
57.51, 1.602, 31.6, 2 1 3
60.68, 1.526, 16.6, 2 2 0
69.79, 1.348, 32.4, 2 0 5
83.89, 1.153, 15.3, 3 2 2

Lattice parameters (Å, degrees): 4.317 4.317 8.620 90.00 90.00 90.00
Space group P4mm (No. 99)
Inequivalent atoms, fractional coordinates:
1 Y 0.000 0.500 0.000 [2 per cell]
2 Tm 0.000 0.000 0.407 [1 per cell]
3 Tm 0.500 0.500 0.595 [1 per cell]
4 As 0.000 0.000 0.791 [1 per cell]
5 As 0.500 0.500 0.211 [1 per cell]
6 O 0.000 0.500 0.501 [2 per cell]

***

Theoretical powder XRD pattern of Zn3As2O6 for CuKα, from a crystal structure in OQMD, relaxed with GGA-PBE.
No peak broadening, texture or thermal motion is included.

Top 10 peaks for 2θ from 10° to 90°, in order of rising 2θ:
two_theta, d_spacing, intensity, h k l
22.32, 3.984, 100.0, 1 2 1
25.88, 3.442, 22.2, 0 2 2
26.27, 3.393, 35.1, 1 3 1
27.89, 3.199, 68.7, 1 1 2
32.47, 2.758, 23.0, 2 1 1
33.73, 2.657, 62.5, 0 4 2
34.37, 2.610, 38.0, 1 5 0
59.02, 1.565, 26.8, 1 7 3
64.50, 1.445, 31.8, 1 9 2
64.95, 1.436, 25.9, 4 3 0

Lattice parameters (Å, degrees): 6.019 14.479 7.825 90.00 90.00 90.00
Space group Pbam (No. 55)
Inequivalent atoms, fractional coordinates:
1 Zn 0.000 0.000 0.186 [4 per cell]
2 Zn 0.067 0.218 0.283 [8 per cell]
3 As 0.070 0.622 0.000 [4 per cell]
4 As 0.206 0.401 0.500 [4 per cell]
5 O 0.100 0.897 0.323 [8 per cell]
6 O 0.143 0.696 0.177 [8 per cell]
7 O 0.160 0.278 0.500 [4 per cell]
8 O 0.178 0.057 0.000 [4 per cell]

***

Theoretical powder XRD pattern of Zn4As2O9 for CuKα, from a crystal structure in OQMD, relaxed with GGA-PBE.
No peak broadening, texture or thermal motion is included.

Top 10 peaks for 2θ from 10° to 90°, in order of rising 2θ:
two_theta, d_spacing, intensity, h k l
28.32, 3.151, 31.7, 2 1 -3
29.54, 3.024, 100.0, 0 2 2
31.96, 2.800, 42.1, 3 0 0
35.25, 2.546, 41.8, 3 2 -2
36.02, 2.493, 14.9, 3 0 -4
40.21, 2.243, 14.0, 0 0 4
44.26, 2.046, 10.4, 0 4 0
55.40, 1.658, 18.1, 2 3 -5
56.60, 1.626, 11.1, 6 0 -4
62.62, 1.484, 10.9, 6 2 -2

Lattice parameters (Å, degrees): 9.829 8.186 10.502 90.00 121.28 90.00
Space group P2_1/c (No. 14)
Inequivalent atoms, fractional coordinates:
1 Zn 0.014 0.195 0.004 [4 per cell]
2 Zn 0.296 0.743 0.959 [4 per cell]
3 Zn 0.347 0.183 0.524 [4 per cell]
4 Zn 0.398 0.023 0.843 [4 per cell]
5 As 0.000 0.017 0.285 [4 per cell]
6 As 0.342 0.502 0.736 [4 per cell]
7 O 0.024 0.000 0.135 [4 per cell]
8 O 0.058 0.659 0.888 [4 per cell]
9 O 0.106 0.175 0.403 [4 per cell]
10 O 0.194 0.574 0.283 [4 per cell]
11 O 0.261 0.666 0.617 [4 per cell]
12 O 0.278 0.186 0.157 [4 per cell]
13 O 0.325 0.523 0.889 [4 per cell]
14 O 0.452 0.010 0.690 [4 per cell]
15 O 0.495 0.174 0.009 [4 per cell]

***

Theoretical powder XRD pattern of Zn3As2O6 for CuKα, from a crystal structure in OQMD, relaxed with GGA-PBE.
No peak broadening, texture or thermal motion is included.

Top 10 peaks for 2θ from 10° to 90°, in order of rising 2θ:
two_theta, d_spacing, intensity, h k l
11.00, 8.047, 23.7, 1 0 0
11.31, 7.825, 38.4, 0 0 2
22.73, 3.913, 28.7, 0 0 4
27.48, 3.245, 49.5, 1 1 3
29.95, 2.983, 30.8, 2 0 -4
31.63, 2.829, 100.0, 2 1 -3
34.68, 2.587, 24.6, 2 1 -4
35.10, 2.557, 48.7, 0 2 1
36.38, 2.469, 24.8, 1 1 5
36.66, 2.451, 25.7, 3 0 2

Lattice parameters (Å, degrees): 8.101 5.183 15.756 90.00 96.66 90.00
Space group P2_1/c (No. 14)
Inequivalent atoms, fractional coordinates:
1 Zn 0.009 0.059 0.315 [4 per cell]
2 Zn 0.110 0.138 0.064 [4 per cell]
3 Zn 0.372 0.141 0.240 [4 per cell]
4 As 0.252 0.556 0.368 [4 per cell]
5 As 0.340 0.638 0.100 [4 per cell]
6 O 0.088 0.700 0.295 [4 per cell]
7 O 0.126 0.530 0.453 [4 per cell]
8 O 0.134 0.501 0.094 [4 per cell]
9 O 0.229 0.227 0.330 [4 per cell]
10 O 0.284 0.549 0.639 [4 per cell]
11 O 0.421 0.502 0.202 [4 per cell]

***

Theoretical powder XRD pattern of As3POs2 for CuKα, from a crystal structure in OQMD, relaxed with GGA-PBE.
No peak broadening, texture or thermal motion is included.

Top 10 peaks for 2θ from 10° to 90°, in order of rising 2θ:
two_theta, d_spacing, intensity, h k l
21.71, 4.094, 38.7, 1 0 -1
22.06, 4.029, 58.3, 1 0 1
28.92, 3.087, 36.1, 0 0 2
33.22, 2.697, 23.0, 2 0 0
33.99, 2.638, 100.0, 1 1 0
45.02, 2.014, 40.8, 1 1 -2
47.34, 1.920, 29.5, 2 1 -1
47.54, 1.913, 18.4, 1 0 3
47.70, 1.907, 36.8, 2 1 1
53.88, 1.702, 36.1, 0 1 3

Lattice parameters (Å, degrees): 5.392 3.025 6.175 90.00 90.91 90.00
Space group Pm (No. 6)
Inequivalent atoms, fractional coordinates:
1 As 0.000 0.000 0.000 [1 per cell]
2 As 0.166 0.500 0.494 [1 per cell]
3 As 0.658 0.000 0.729 [1 per cell]
4 P 0.503 0.500 0.230 [1 per cell]
5 Os 0.334 0.500 0.875 [1 per cell]
6 Os 0.814 0.000 0.359 [1 per cell]

***

Theoretical powder XRD pattern of As2Os3Pb2 for CuKα, from a crystal structure in OQMD, relaxed with GGA-PBE.
No peak broadening, texture or thermal motion is included.

Top 10 peaks for 2θ from 10° to 90°, in order of rising 2θ:
two_theta, d_spacing, intensity, h k l
11.75, 7.529, 28.2, 0 0 3
23.88, 3.726, 26.1, 0 1 2
35.95, 2.498, 25.7, 1 0 7
39.23, 2.296, 78.5, 0 1 8
39.55, 2.279, 100.0, 1 1 0
56.93, 1.617, 26.9, 2 0 8
71.53, 1.319, 27.5, 1 2 8
71.74, 1.316, 17.8, 3 0 0
75.71, 1.256, 13.8, 1 1 15
85.16, 1.139, 11.6, 2 2 0

Lattice parameters (Å, degrees): 4.5576 4.5576 22.5858 90.00 90.00 120.00
Space group R3m (No. 160, hexagonal axes)
Inequivalent atoms, fractional coordinates:
1 As 0.0000 0.0000 0.0000 [3 per cell]
2 As 0.0000 0.0000 0.4915 [3 per cell]
3 Os 0.0000 0.0000 0.1138 [3 per cell]
4 Os 0.0000 0.0000 0.3752 [3 per cell]
5 Os 0.0000 0.0000 0.8490 [3 per cell]
6 Pb 0.0000 0.0000 0.2463 [3 per cell]
7 Pb 0.0000 0.0000 0.7274 [3 per cell]